1.
CdIn2Cl4: calculated XRD peak list (Cu Kα (weighted mean of Kα1 and Kα2)), based on a cell relaxed with PBE.
Neutral-atom scattering factors, no anomalous dispersion.

Structure:
```
data_CdIn2Cl4
_cell_length_a 8.635
_cell_length_b 12.048
_cell_length_c 4.084
_cell_angle_alpha 90.00
_cell_angle_beta 90.00
_cell_angle_gamma 90.00
_symmetry_space_group_name_H-M 'P b a m'
_symmetry_Int_Tables_number 55
_symmetry_space_group_name_Hall '-P 2 2ab'
loop_
_atom_site_label
_atom_site_fract_x
_atom_site_fract_y
_atom_site_fract_z
_atom_site_occupancy
Cd1 0.000 0.000 0.000 1
In1 0.082 0.316 0.500 1
Cl1 0.139 0.806 0.000 1
Cl2 0.181 0.074 0.500 1
```

Principal peaks in the range 2θ from 5° to 70°, low angle first:
- hkl 1 1 0, d 7.018, intensity 36
- hkl 2 1 0, d 4.064, intensity 31
- hkl 1 3 0, d 3.641, intensity 88
- hkl 1 1 1, d 3.530, intensity 76
- hkl 0 2 1, d 3.380, intensity 29
- hkl 2 1 1, d 2.881, intensity 100
- hkl 1 4 0, d 2.844, intensity 34
- hkl 2 2 1, d 2.662, intensity 57
- hkl 0 0 2, d 2.042, intensity 28
- hkl 1 5 1, d 2.018, intensity 59



2.
Sr2LiTl2: calculated XRD peak list (Cu Kα (weighted mean of Kα1 and Kα2)), based on a cell relaxed with PBE.
Neutral-atom scattering factors, no anomalous dispersion.

Structure:
```
data_Sr2LiTl2
_cell_length_a 4.876
_cell_length_b 6.621
_cell_length_c 10.373
_cell_angle_alpha 90.00
_cell_angle_beta 90.00
_cell_angle_gamma 90.00
_symmetry_space_group_name_H-M 'I m m m'
_symmetry_Int_Tables_number 71
_symmetry_space_group_name_Hall '-I 2 2'
loop_
_atom_site_label
_atom_site_fract_x
_atom_site_fract_y
_atom_site_fract_z
_atom_site_occupancy
Sr1 0.000 0.000 0.196 1
Li1 0.000 0.500 0.000 1
Tl1 0.000 0.250 0.500 1
```

Principal peaks in the range 2θ from 5° to 70°, low angle first:
- hkl 0 0 2, d 5.186, intensity 43
- hkl 1 0 1, d 4.413, intensity 94
- hkl 1 0 3, d 2.820, intensity 82
- hkl 0 2 2, d 2.790, intensity 76
- hkl 1 2 1, d 2.648, intensity 100
- hkl 0 0 4, d 2.593, intensity 21
- hkl 2 0 0, d 2.438, intensity 31
- hkl 2 2 2, d 1.836, intensity 45
- hkl 0 4 0, d 1.654, intensity 48
- hkl 1 4 3, d 1.428, intensity 21